[1]
Diffraction record for Na3Hg2Cl3O2. The powder diffraction line list is theoretical, not measured: it uses a DFT-relaxed cell (GGA-PBE, Alexandria) and Cu Ka.
Lines closer than 0.1° are merged.

Structural model:
a b c (Å): 12.024 12.024 12.024
angles (deg): 159.06 159.06 29.78
Fractional positions:
Na 0.000 0.000 0.000
Na 0.384 0.384 0.000
Na 0.616 0.616 0.000
Hg 0.250 0.750 0.500
Hg 0.750 0.250 0.500
Cl 0.120 0.120 0.000
Cl 0.500 0.500 0.000
Cl 0.880 0.880 0.000
O 0.284 0.284 0.000
O 0.716 0.716 0.000

Top 12 peaks for 2θ from 10° to 90°, by angle:
2theta, d (Å), intensity
15.25, 5.810, 80.9
22.96, 3.873, 35.1
29.93, 2.986, 100.0
30.78, 2.905, 39.5
32.83, 2.728, 77.7
37.23, 2.415, 51.9
41.33, 2.185, 40.3
42.08, 2.147, 27.3
44.30, 2.045, 24.1
47.80, 1.903, 21.0
49.05, 1.857, 36.0
52.40, 1.746, 34.4


[2]
Diffraction record for La2Sm5YSc. The powder diffraction line list is theoretical, not measured: it uses a DFT-relaxed cell (GGA-PBE, Alexandria) and Cu Ka.
Lines closer than 0.1° are merged.

Structural model:
a b c (Å): 11.381 11.381 10.120
angles (deg): 90.00 90.00 152.21
Fractional positions:
La 0.117 0.883 0.508
La 0.117 0.883 0.992
La 0.883 0.117 0.008
La 0.883 0.117 0.492
Sm 0.000 0.000 0.250
Sm 0.000 0.000 0.750
Sm 0.276 0.724 0.563
Sm 0.276 0.724 0.937
Sm 0.373 0.627 0.250
Sm 0.500 0.500 0.000
Sm 0.500 0.500 0.500
Sm 0.627 0.373 0.750
Sm 0.724 0.276 0.063
Sm 0.724 0.276 0.437
Y 0.397 0.603 0.750
Y 0.603 0.397 0.250
Sc 0.215 0.785 0.250
Sc 0.785 0.215 0.750

Top 12 peaks for 2θ from 10° to 90°, by angle:
2theta, d (Å), intensity
26.89, 3.316, 33.9
31.46, 2.844, 100.0
32.41, 2.762, 14.9
32.76, 2.734, 32.8
35.48, 2.530, 13.0
46.75, 1.943, 10.8
48.81, 1.866, 8.6
49.06, 1.857, 10.4
57.66, 1.599, 17.6
58.63, 1.574, 7.7
59.84, 1.546, 12.6
60.04, 1.541, 8.3


[3]
Diffraction record for Er7Ga2Co2. The powder diffraction line list is theoretical, not measured: it uses a DFT-relaxed cell (GGA-PBE, Alexandria) and Cu Ka.
Lines closer than 0.1° are merged.

Structural model:
a b c (Å): 6.562 6.562 6.755
angles (deg): 90.00 90.00 109.85
Fractional positions:
Er 0.000 0.000 0.000
Er 0.000 0.500 0.252
Er 0.000 0.500 0.748
Er 0.500 0.000 0.252
Er 0.500 0.000 0.748
Er 0.500 0.500 0.244
Er 0.500 0.500 0.756
Ga 0.168 0.168 0.500
Ga 0.832 0.832 0.500
Co 0.295 0.705 0.000
Co 0.705 0.295 0.000

Top 12 peaks for 2θ from 10° to 90°, by angle:
2theta, d (Å), intensity
26.39, 3.377, 20.2
27.08, 3.293, 18.8
28.93, 3.086, 100.0
30.16, 2.963, 53.7
31.29, 2.859, 24.9
33.37, 2.685, 67.1
38.54, 2.336, 42.9
39.56, 2.278, 92.8
48.27, 1.886, 19.1
56.94, 1.617, 19.2
62.72, 1.481, 22.9
65.27, 1.430, 19.1